(1)
The following is a simulated XRD peak list of Dy2PdO4. It was derived from a structure optimized by DFT (PBE), using CuKα.
No peak broadening, texture or thermal motion is included.

Atomic structure:
Cell lengths 12.0671, 5.6039, 5.6000 Å; angles 90.00, 90.00, 90.00 degrees
Space group Cmce (No. 64)
Unique sites:
Dy 0.1594 0.0000 0.0000 [8 per cell]
Pd 0.0000 0.0000 0.5000 [4 per cell]
O 0.0000 0.1753 0.1753 [8 per cell]
O 0.2500 0.2403 0.7500 [8 per cell]

The 12 most intense peaks (10 to 90 degrees two-theta), by intensity:
two_theta, I (rel.)
31.70, 100
56.79, 42
31.95, 39
45.81, 23
56.31, 20
66.23, 11
45.08, 9
74.75, 8
75.97, 8
75.83, 7
66.80, 7
23.64, 6

(2)
The following is a simulated XRD peak list of Dy2ScPdO6. It was derived from a structure optimized by DFT (PBE), using CuKα.
No peak broadening, texture or thermal motion is included.

Atomic structure:
Cell lengths 5.4977, 5.6227, 5.7627 Å; angles 61.84, 89.92, 61.52 degrees
Space group P1 (No. 1)
Unique sites:
Dy 0.0000 0.0000 0.0000 [1 per cell]
Dy 0.5005 0.0049 0.4902 [1 per cell]
Sc 0.2196 0.5614 0.6464 [1 per cell]
Pd 0.7107 0.5764 0.1258 [1 per cell]
O 0.1025 0.0413 0.3571 [1 per cell]
O 0.3228 0.1022 0.8218 [1 per cell]
O 0.4293 0.4875 0.3417 [1 per cell]
O 0.5855 0.4816 0.8533 [1 per cell]
O 0.8374 0.7289 0.3422 [1 per cell]
O 0.9284 0.7260 0.8477 [1 per cell]

The 12 most intense peaks (10 to 90 degrees two-theta), by intensity:
two_theta, I (rel.)
30.26, 100
31.49, 97
22.37, 95
30.67, 95
31.87, 90
31.09, 88
32.58, 86
45.65, 74
50.38, 60
55.83, 49
21.30, 48
43.38, 45

(3)
The following is a simulated XRD peak list of PmDy2PuO8. It was derived from a structure optimized by DFT (PBE), using CuKα.
No peak broadening, texture or thermal motion is included.

Atomic structure:
Cell lengths 7.2195, 7.2644, 7.0633 Å; angles 90.00, 90.00, 90.00 degrees
Space group Cmmm (No. 65)
Unique sites:
Pm 0.0000 0.0000 0.0000 [2 per cell]
Dy 0.0000 0.5000 0.2421 [4 per cell]
Pu 0.0000 0.0000 0.5000 [2 per cell]
O 0.0000 0.1857 0.2836 [8 per cell]
O 0.1857 0.5000 0.0000 [4 per cell]
O 0.2224 0.5000 0.5000 [4 per cell]

The 12 most intense peaks (10 to 90 degrees two-theta), by intensity:
two_theta, I (rel.)
30.75, 100
24.51, 54
24.66, 52
47.22, 39
47.40, 37
35.05, 30
60.22, 22
58.12, 19
64.06, 12
56.98, 10
84.42, 10
56.74, 9

(4)
The following is a simulated XRD peak list of PmDyS2O8. It was derived from a structure optimized by DFT (PBE), using CuKα.
No peak broadening, texture or thermal motion is included.

Atomic structure:
Cell lengths 5.6881, 5.6881, 6.4138 Å; angles 90.00, 90.00, 120.00 degrees
Space group P-3m1 (No. 164)
Unique sites:
Pm 0.0000 0.0000 0.0000 [1 per cell]
Dy 0.0000 0.0000 0.5000 [1 per cell]
S 0.3333 0.6667 0.1988 [2 per cell]
O 0.1877 0.3753 0.2761 [6 per cell]
O 0.3333 0.6667 0.9710 [2 per cell]

The 12 most intense peaks (10 to 90 degrees two-theta), by intensity:
two_theta, I (rel.)
18.01, 100
33.34, 68
31.46, 57
46.49, 35
42.48, 34
57.21, 24
48.92, 21
22.76, 19
75.66, 13
36.48, 12
78.77, 12
60.74, 10

(5)
The following is a simulated XRD peak list of PmDySb2O8. It was derived from a structure optimized by DFT (PBE), using CuKα.
No peak broadening, texture or thermal motion is included.

Atomic structure:
Cell lengths 5.3108, 5.3108, 11.3562 Å; angles 90.00, 90.00, 90.00 degrees
Space group I-4 (No. 82)
Unique sites:
Pm 0.0000 0.0000 0.0000 [2 per cell]
Dy 0.0000 0.5000 0.2500 [2 per cell]
Sb 0.0000 0.0000 0.5000 [2 per cell]
Sb 0.0000 0.5000 0.7500 [2 per cell]
O 0.1743 0.2530 0.4102 [8 per cell]
O 0.1828 0.7519 0.8367 [8 per cell]

The 12 most intense peaks (10 to 90 degrees two-theta), by intensity:
two_theta, I (rel.)
28.50, 100
46.85, 31
57.20, 28
33.75, 21
54.27, 17
48.48, 15
31.51, 14
75.71, 12
58.98, 11
89.45, 9
76.02, 7
78.20, 6

(6)
The following is a simulated XRD peak list of Pm2DyUO8. It was derived from a structure optimized by DFT (PBE), using CuKα.
No peak broadening, texture or thermal motion is included.

Atomic structure:
Cell lengths 3.9014, 5.4701, 7.6235 Å; angles 90.00, 90.00, 90.00 degrees
Space group Pmmm (No. 47)
Unique sites:
Pm 0.0000 0.0000 0.2500 [2 per cell]
Dy 0.5000 0.5000 0.0000 [1 per cell]
U 0.5000 0.5000 0.5000 [1 per cell]
O 0.0000 0.2566 0.0000 [2 per cell]
O 0.0000 0.2751 0.5000 [2 per cell]
O 0.5000 0.2656 0.2735 [4 per cell]

The 12 most intense peaks (10 to 90 degrees two-theta), by intensity:
two_theta, I (rel.)
28.09, 100
28.54, 96
47.06, 67
32.85, 43
55.52, 31
56.29, 29
32.74, 22
46.56, 18
47.72, 16
55.64, 15
55.90, 15
75.62, 12

(7)
The following is a simulated XRD peak list of PrDySe2O. It was derived from a structure optimized by DFT (PBE), using CuKα.
No peak broadening, texture or thermal motion is included.

Atomic structure:
Cell lengths 4.0700, 4.0700, 14.6368 Å; angles 90.00, 90.00, 90.00 degrees
Space group P4/nmm (No. 129, origin choice 2)
Unique sites:
Pr 0.2500 0.2500 0.0828 [2 per cell]
Dy 0.2500 0.2500 0.6229 [2 per cell]
Se 0.2500 0.2500 0.4108 [2 per cell]
Se 0.2500 0.2500 0.8024 [2 per cell]
O 0.2500 0.7500 0.0000 [2 per cell]

The 12 most intense peaks (10 to 90 degrees two-theta), by intensity:
two_theta, I (rel.)
31.08, 100
25.03, 45
44.52, 43
39.85, 39
28.56, 28
24.32, 27
37.86, 26
43.24, 23
32.92, 19
63.81, 18
73.59, 17
51.38, 15

(8)
The following is a simulated XRD peak list of PrDySeO2. It was derived from a structure optimized by DFT (PBE), using CuKα.
No peak broadening, texture or thermal motion is included.

Atomic structure:
Cell lengths 6.6652, 4.1084, 7.7926 Å; angles 90.00, 108.19, 90.00 degrees
Space group P2_1/m (No. 11)
Unique sites:
Pr 0.1910 0.2500 0.4285 [2 per cell]
Dy 0.1712 0.2500 0.9201 [2 per cell]
Se 0.4528 0.7500 0.7478 [2 per cell]
O 0.0155 0.7500 0.3702 [2 per cell]
O 0.0160 0.7500 0.8881 [2 per cell]

The 12 most intense peaks (10 to 90 degrees two-theta), by intensity:
two_theta, I (rel.)
25.85, 100
30.91, 73
31.58, 70
32.34, 58
35.81, 51
32.56, 42
44.08, 34
54.81, 29
55.23, 28
46.63, 28
13.99, 26
48.63, 24